Entry 1:
The following is a calculated X-ray powder pattern of LuScNi2As2. It was derived from a crystal structure in OQMD, relaxed with GGA-PBE, using Cu Kα X-rays.
Lines closer than 0.1° are merged.

Largest 10 diffraction maxima, low angle first, 2θ = 10–90°:
- 2θ = 28.6°, I = 8
- 2θ = 35.7°, I = 100
- 2θ = 45.5°, I = 52
- 2θ = 49.8°, I = 11
- 2θ = 59.1°, I = 16
- 2θ = 59.2°, I = 7
- 2θ = 69.7°, I = 25
- 2θ = 77.6°, I = 13
- 2θ = 77.7°, I = 7
- 2θ = 84.1°, I = 9

Atomic structure:
```
data_LuScNi2As2
_space_group_name_H-M_alt 'P 1 m 1'
_space_group_IT_number 6
_cell_length_a 7.319
_cell_length_b 3.994
_cell_length_c 13.811
_cell_angle_alpha 90.00
_cell_angle_beta 90.03
_cell_angle_gamma 90.00
loop_
_space_group_symop_operation_xyz
'x,y,z'
'x,-y,z'
loop_
_atom_site_label
_atom_site_fract_x
_atom_site_fract_y
_atom_site_fract_z
Lu1 0.000 0.000 0.000
Lu2 0.001 0.500 0.250
Lu3 0.502 0.500 0.257
Lu4 0.998 0.500 0.754
Sc1 0.000 0.000 0.505
Sc2 0.498 0.500 0.748
Sc3 0.500 0.000 0.004
Sc4 0.500 0.000 0.501
Ni1 0.261 0.000 0.338
Ni2 0.271 0.500 0.587
Ni3 0.281 0.500 0.084
Ni4 0.294 0.000 0.834
Ni5 0.702 0.000 0.834
Ni6 0.721 0.500 0.084
Ni7 0.725 0.500 0.587
Ni8 0.743 0.000 0.338
As1 0.243 0.500 0.422
As2 0.244 0.000 0.668
As3 0.248 0.000 0.168
As4 0.250 0.500 0.917
As5 0.749 0.500 0.917
As6 0.752 0.000 0.668
As7 0.755 0.000 0.168
As8 0.760 0.500 0.422
```

***

Entry 2:
The following is a calculated X-ray powder pattern of Lu5Zr3Ni16As12. It was derived from a crystal structure in OQMD, relaxed with GGA-PBE, using Cu Kα X-rays.
Lines closer than 0.1° are merged.

Largest 10 diffraction maxima, low angle first, 2θ = 10–90°:
- 2θ = 29.2°, I = 13
- 2θ = 33.6°, I = 28
- 2θ = 36.6°, I = 100
- 2θ = 37.4°, I = 23
- 2θ = 37.5°, I = 54
- 2θ = 47.0°, I = 34
- 2θ = 49.6°, I = 35
- 2θ = 56.1°, I = 17
- 2θ = 70.7°, I = 23
- 2θ = 74.6°, I = 13

Atomic structure:
```
data_Lu5Zr3Ni16As12
_space_group_name_H-M_alt 'P -6 2 m'
_space_group_IT_number 189
_space_group_name_Hall 'P -6 -2'
_cell_length_a 12.7238
_cell_length_b 12.7238
_cell_length_c 3.8694
_cell_angle_alpha 90.00
_cell_angle_beta 90.00
_cell_angle_gamma 120.00
loop_
_atom_site_label
_atom_site_fract_x
_atom_site_fract_y
_atom_site_fract_z
Lu1 0.0000 0.1819 0.0000
Lu2 0.3333 0.6667 0.5000
Zr1 0.0000 0.5617 0.5000
Ni1 0.0000 0.0000 0.5000
Ni2 0.0000 0.7239 0.0000
Ni3 0.1219 0.4821 0.0000
Ni4 0.1825 0.8082 0.5000
As1 0.0000 0.3531 0.5000
As2 0.0000 0.8231 0.5000
As3 0.1733 0.6919 0.0000
```

***

Entry 3:
The following is a calculated X-ray powder pattern of SrLuAsO. It was derived from a crystal structure in OQMD, relaxed with GGA-PBE, using Cu Kα X-rays.
Lines closer than 0.1° are merged.

Largest 10 diffraction maxima, low angle first, 2θ = 10–90°:
- 2θ = 19.4°, I = 28
- 2θ = 28.4°, I = 77
- 2θ = 29.1°, I = 27
- 2θ = 30.7°, I = 100
- 2θ = 36.0°, I = 85
- 2θ = 41.6°, I = 62
- 2θ = 51.1°, I = 30
- 2θ = 56.2°, I = 47
- 2θ = 68.9°, I = 22
- 2θ = 69.1°, I = 21

Atomic structure:
```
data_SrLuAsO
_space_group_name_H-M_alt 'P 4/n m m'
_space_group_IT_number 129
_cell_length_a 4.346
_cell_length_b 4.346
_cell_length_c 9.129
_cell_angle_alpha 90.00
_cell_angle_beta 90.00
_cell_angle_gamma 90.00
loop_
_space_group_symop_operation_xyz
'x,y,z'
'-x,-y,-z'
'-y+1/2,x,z'
'y+1/2,-x,-z'
'-x+1/2,-y+1/2,z'
'x+1/2,y+1/2,-z'
'y,-x+1/2,z'
'-y,x+1/2,-z'
'x+1/2,-y,-z'
'-x+1/2,y,z'
'-y,-x,-z'
'y,x,z'
'-x,y+1/2,-z'
'x,-y+1/2,z'
'y+1/2,x+1/2,-z'
'-y+1/2,-x+1/2,z'
loop_
_atom_site_label
_atom_site_fract_x
_atom_site_fract_y
_atom_site_fract_z
Sr1 0.250 0.750 0.000
Lu1 0.250 0.250 0.422
As1 0.250 0.250 0.775
O1 0.250 0.750 0.500
```

***

Entry 4:
The following is a calculated X-ray powder pattern of Lu3As2Se. It was derived from a crystal structure in OQMD, relaxed with GGA-PBE, using Cu Kα X-rays.
Lines closer than 0.1° are merged.

Largest 10 diffraction maxima, low angle first, 2θ = 10–90°:
- 2θ = 27.2°, I = 27
- 2θ = 31.5°, I = 100
- 2θ = 45.1°, I = 74
- 2θ = 53.5°, I = 13
- 2θ = 56.1°, I = 25
- 2θ = 65.8°, I = 12
- 2θ = 72.5°, I = 5
- 2θ = 74.7°, I = 32
- 2θ = 83.3°, I = 25
- 2θ = 89.7°, I = 4

Atomic structure:
```
data_Lu3As2Se
_space_group_name_H-M_alt 'P -3 m 1'
_space_group_IT_number 164
_space_group_name_Hall '-P 3 2"'
_cell_length_a 4.0168
_cell_length_b 4.0168
_cell_length_c 9.8398
_cell_angle_alpha 90.00
_cell_angle_beta 90.00
_cell_angle_gamma 120.00
loop_
_atom_site_label
_atom_site_fract_x
_atom_site_fract_y
_atom_site_fract_z
Lu1 0.0000 0.0000 0.0000
Lu2 0.3333 0.6667 0.6787
As1 0.3333 0.6667 0.1667
Se1 0.0000 0.0000 0.5000
```

***

Entry 5:
The following is a calculated X-ray powder pattern of Na2MgNiAs2. It was derived from a crystal structure in OQMD, relaxed with GGA-PBE, using Cu Kα X-rays.
Lines closer than 0.1° are merged.

Largest 10 diffraction maxima, low angle first, 2θ = 10–90°:
- 2θ = 12.4°, I = 67
- 2θ = 25.2°, I = 83
- 2θ = 31.0°, I = 22
- 2θ = 33.4°, I = 38
- 2θ = 33.5°, I = 22
- 2θ = 40.2°, I = 100
- 2θ = 44.1°, I = 29
- 2θ = 44.4°, I = 54
- 2θ = 51.7°, I = 26
- 2θ = 78.9°, I = 26

Atomic structure:
```
data_Na2MgNiAs2
_space_group_name_H-M_alt 'P -4 m 2'
_space_group_IT_number 115
_cell_length_a 4.080
_cell_length_b 4.080
_cell_length_c 7.126
_cell_angle_alpha 90.00
_cell_angle_beta 90.00
_cell_angle_gamma 90.00
loop_
_space_group_symop_operation_xyz
'x,y,z'
'y,-x,-z'
'-x,-y,z'
'-y,x,-z'
'-x,y,z'
'-y,-x,-z'
'x,-y,z'
'y,x,-z'
loop_
_atom_site_label
_atom_site_fract_x
_atom_site_fract_y
_atom_site_fract_z
Na1 0.000 0.500 0.145
Mg1 0.000 0.000 0.500
Ni1 0.500 0.500 0.500
As1 0.000 0.500 0.718
```

***

Entry 6:
The following is a calculated X-ray powder pattern of Mg2ReSiAs4. It was derived from a crystal structure in OQMD, relaxed with GGA-PBE, using Cu Kα X-rays.
Lines closer than 0.1° are merged.

Largest 10 diffraction maxima, low angle first, 2θ = 10–90°:
- 2θ = 16.9°, I = 61
- 2θ = 21.1°, I = 12
- 2θ = 26.5°, I = 100
- 2θ = 34.6°, I = 14
- 2θ = 41.7°, I = 15
- 2θ = 42.9°, I = 25
- 2θ = 44.5°, I = 47
- 2θ = 51.2°, I = 28
- 2θ = 54.0°, I = 14
- 2θ = 79.8°, I = 13

Atomic structure:
```
data_Mg2ReSiAs4
_space_group_name_H-M_alt 'I -4'
_space_group_IT_number 82
_cell_length_a 5.962
_cell_length_b 5.962
_cell_length_c 11.129
_cell_angle_alpha 90.00
_cell_angle_beta 90.00
_cell_angle_gamma 90.00
loop_
_space_group_symop_operation_xyz
'x,y,z'
'y,-x,-z'
'-x,-y,z'
'-y,x,-z'
'x+1/2,y+1/2,z+1/2'
'y+1/2,-x+1/2,-z+1/2'
'-x+1/2,-y+1/2,z+1/2'
'-y+1/2,x+1/2,-z+1/2'
loop_
_atom_site_label
_atom_site_fract_x
_atom_site_fract_y
_atom_site_fract_z
Mg1 0.000 0.000 0.000
Mg2 0.000 0.500 0.250
Re1 0.000 0.500 0.750
Si1 0.000 0.000 0.500
As1 0.212 0.749 0.626
```

***

Entry 7:
The following is a calculated X-ray powder pattern of SmMgZnAs2. It was derived from a crystal structure in OQMD, relaxed with GGA-PBE, using Cu Kα X-rays.
Lines closer than 0.1° are merged.

Largest 10 diffraction maxima, low angle first, 2θ = 10–90°:
- 2θ = 12.6°, I = 21
- 2θ = 27.2°, I = 100
- 2θ = 35.2°, I = 83
- 2θ = 42.2°, I = 64
- 2θ = 45.9°, I = 25
- 2θ = 50.9°, I = 18
- 2θ = 56.1°, I = 21
- 2θ = 58.4°, I = 18
- 2θ = 68.2°, I = 15
- 2θ = 72.6°, I = 20

Atomic structure:
```
data_SmMgZnAs2
_space_group_name_H-M_alt 'P 3 m 1'
_space_group_IT_number 156
_cell_length_a 4.2813
_cell_length_b 4.2813
_cell_length_c 7.0182
_cell_angle_alpha 90.00
_cell_angle_beta 90.00
_cell_angle_gamma 120.00
loop_
_space_group_symop_operation_xyz
'x,y,z'
'-y,x-y,z'
'-x+y,-x,z'
'-y,-x,z'
'-x+y,y,z'
'x,x-y,z'
loop_
_atom_site_label
_atom_site_fract_x
_atom_site_fract_y
_atom_site_fract_z
Sm1 0.0000 0.0000 0.0000
Mg1 0.3333 0.6667 0.3701
Zn1 0.6667 0.3333 0.6472
As1 0.3333 0.6667 0.7416
As2 0.6667 0.3333 0.2497
```

***

Entry 8:
The following is a calculated X-ray powder pattern of Mo2As. It was derived from a crystal structure in OQMD, relaxed with GGA-PBE, using Cu Kα X-rays.
Lines closer than 0.1° are merged.

Largest 10 diffraction maxima, low angle first, 2θ = 10–90°:
- 2θ = 14.9°, I = 24
- 2θ = 18.0°, I = 21
- 2θ = 34.9°, I = 100
- 2θ = 36.4°, I = 24
- 2θ = 39.6°, I = 33
- 2θ = 44.1°, I = 75
- 2θ = 45.9°, I = 18
- 2θ = 51.4°, I = 26
- 2θ = 55.9°, I = 22
- 2θ = 70.6°, I = 19

Atomic structure:
```
data_Mo2As
_space_group_name_H-M_alt 'P -3 1 m'
_space_group_IT_number 162
_space_group_name_Hall '-P 3 2'
_cell_length_a 5.6968
_cell_length_b 5.6968
_cell_length_c 5.9369
_cell_angle_alpha 90.00
_cell_angle_beta 90.00
_cell_angle_gamma 120.00
loop_
_atom_site_label
_atom_site_fract_x
_atom_site_fract_y
_atom_site_fract_z
Mo1 0.0000 0.3982 0.1786
As1 0.0000 0.0000 0.0000
As2 0.3333 0.6667 0.5000
```